No. 1
La8DyEr5: theoretical XRD peak list (λ = 1.5418 Å (Cu Kα)), based on DFT lattice parameters and positions (GGA-PBE).
Kinematic intensities with the Lorentz-polarization factor, no thermal factor.

Atomic structure:
a b c (Å): 9.788 9.788 10.379
angles (deg): 90.00 90.00 90.00
Space group I-4 (No. 82)
Unique sites:
1 La 0.067 0.331 0.408
2 La 0.091 0.182 0.748
3 Dy 0.000 0.500 0.750
4 Er 0.000 0.000 0.500
5 Er 0.106 0.200 0.073

Peak list (8 most intense, 2θ from 10° to 90°, by angle)
h k l	d (Å)	2θ/deg	I_rel
1 0 3	3.262	27.34	62
3 0 1	3.113	28.68	72
3 1 0	3.095	28.84	77
2 2 2	2.879	31.06	27
1 2 3	2.714	33.00	100
3 1 2	2.658	33.72	45
3 2 1	2.626	34.14	52
5 0 3	1.704	53.81	23

=====

No. 2
NaPd5Se8: theoretical XRD peak list (λ = 1.5418 Å (Cu Kα)), based on DFT lattice parameters and positions (GGA-PBE).
Kinematic intensities with the Lorentz-polarization factor, no thermal factor.

Atomic structure:
a b c (Å): 19.052 3.944 8.061
angles (deg): 90.00 100.80 90.00
Space group C2/m (No. 12)
Unique sites:
1 Na 0.000 0.000 0.000
2 Pd 0.000 0.500 0.500
3 Pd 0.154 0.000 0.443
4 Pd 0.194 0.000 0.820
5 Se 0.063 0.000 0.655
6 Se 0.100 0.500 0.240
7 Se 0.178 0.500 0.024
8 Se 0.221 0.500 0.631

Peak list (8 most intense, 2θ from 10° to 90°, by angle)
h k l	d (Å)	2θ/deg	I_rel
0 0 1	7.918	11.17	79
3 1 1	2.968	30.11	98
1 1 -2	2.818	31.75	55
6 0 -2	2.710	33.05	95
3 1 -3	2.178	41.46	68
5 1 2	2.109	42.88	54
0 2 0	1.973	46.00	100
9 1 -1	1.861	48.95	76

=====

No. 3
SmTl2F4: theoretical XRD peak list (λ = 1.5418 Å (Cu Kα)), based on DFT lattice parameters and positions (GGA-PBE).
Kinematic intensities with the Lorentz-polarization factor, no thermal factor.

Atomic structure:
a b c (Å): 4.554 4.554 18.178
angles (deg): 90.00 90.00 90.00
Space group I4/mmm (No. 139)
Unique sites:
1 Sm 0.000 0.000 0.000
2 Tl 0.000 0.000 0.254
3 F 0.000 0.000 0.123
4 F 0.000 0.500 0.000

Peak list (8 most intense, 2θ from 10° to 90°, by angle)
h k l	d (Å)	2θ/deg	I_rel
0 0 4	4.545	19.53	100
1 0 1	4.418	20.10	37
1 1 0	3.221	27.70	87
1 1 2	3.035	29.43	46
1 1 4	2.628	34.12	73
2 0 0	2.276	39.60	65
2 0 4	2.036	44.50	49
2 2 0	1.609	57.25	43